# 1
Structure and theoretical powder diffraction line list of PrCdAu2 (a DFT-relaxed cell (PBE, the Materials Project); a wavelength of 1.5418 Å).
Lines closer than 0.1° are merged.

a = 7.181 Å, b = 7.181 Å, c = 7.181 Å
α = 90.00°, β = 90.00°, γ = 90.00°
Atoms (fractional coordinates):
Pr1 0.000 0.000 0.000
Pr2 0.000 0.500 0.500
Pr3 0.500 0.000 0.500
Pr4 0.500 0.500 0.000
Cd1 0.000 0.000 0.500
Cd2 0.000 0.500 0.000
Cd3 0.500 0.000 0.000
Cd4 0.500 0.500 0.500
Au1 0.250 0.250 0.250
Au2 0.250 0.250 0.750
Au3 0.250 0.750 0.250
Au4 0.250 0.750 0.750
Au5 0.750 0.250 0.250
Au6 0.750 0.250 0.750
Au7 0.750 0.750 0.250
Au8 0.750 0.750 0.750

Principal peaks in the range 10 to 90 degrees two-theta, by angle:
| d (Å) | I_rel |
| --- | --- |
| 3.590 | 5 |
| 2.539 | 100 |
| 1.795 | 18 |
| 1.466 | 37 |
| 1.269 | 11 |
| 1.135 | 17 |



# 2
Structure and theoretical powder diffraction line list of Pr2CdAu2 (a DFT-relaxed cell (PBE, the Materials Project); a wavelength of 1.5418 Å).
Lines closer than 0.1° are merged.

a = 8.243 Å, b = 8.243 Å, c = 3.895 Å
α = 90.00°, β = 90.00°, γ = 90.00°
Atoms (fractional coordinates):
Pr1 0.176 0.324 0.000
Pr2 0.324 0.824 0.000
Pr3 0.676 0.176 0.000
Pr4 0.824 0.676 0.000
Cd1 0.000 0.000 0.500
Cd2 0.500 0.500 0.500
Au1 0.125 0.625 0.500
Au2 0.375 0.125 0.500
Au3 0.625 0.875 0.500
Au4 0.875 0.375 0.500

Principal peaks in the range 10 to 90 degrees two-theta, by angle:
| d (Å) | I_rel |
| --- | --- |
| 2.831 | 20 |
| 2.677 | 100 |
| 2.607 | 38 |
| 2.286 | 14 |
| 1.947 | 13 |
| 1.560 | 16 |



# 3
Structure and theoretical powder diffraction line list of PrCdAu (a DFT-relaxed cell (PBE, the Materials Project); a wavelength of 1.5418 Å).
Lines closer than 0.1° are merged.

a = 8.005 Å, b = 8.005 Å, c = 4.048 Å
α = 90.00°, β = 90.00°, γ = 120.00°
Atoms (fractional coordinates):
Pr1 0.000 0.591 0.000
Pr2 0.409 0.409 0.000
Pr3 0.591 0.000 0.000
Cd1 0.000 0.255 0.500
Cd2 0.255 0.000 0.500
Cd3 0.745 0.745 0.500
Au1 0.000 0.000 0.000
Au2 0.333 0.667 0.500
Au3 0.667 0.333 0.500

Principal peaks in the range 10 to 90 degrees two-theta, by angle:
| d (Å) | I_rel |
| --- | --- |
| 2.846 | 71 |
| 2.633 | 100 |
| 2.620 | 32 |
| 2.311 | 50 |
| 2.200 | 44 |
| 1.480 | 35 |



# 4
Structure and theoretical powder diffraction line list of RbCdAuS2 (a DFT-relaxed cell (PBE, the Materials Project); a wavelength of 1.5418 Å).
Lines closer than 0.1° are merged.

a = 13.960 Å, b = 5.919 Å, c = 6.970 Å
α = 90.00°, β = 90.00°, γ = 90.00°
Atoms (fractional coordinates):
Rb1 0.000 0.223 0.250
Rb2 0.000 0.777 0.750
Rb3 0.500 0.223 0.750
Rb4 0.500 0.777 0.250
Cd1 0.250 0.500 0.062
Cd2 0.250 0.500 0.562
Cd3 0.750 0.500 0.438
Cd4 0.750 0.500 0.938
Au1 0.250 0.000 0.316
Au2 0.250 0.000 0.816
Au3 0.750 0.000 0.184
Au4 0.750 0.000 0.684
S1 0.139 0.295 0.815
S2 0.139 0.705 0.315
S3 0.361 0.295 0.315
S4 0.361 0.705 0.815
S5 0.639 0.295 0.185
S6 0.639 0.705 0.685
S7 0.861 0.295 0.685
S8 0.861 0.705 0.185

Principal peaks in the range 10 to 90 degrees two-theta, by angle:
| d (Å) | I_rel |
| --- | --- |
| 6.980 | 100 |
| 3.489 | 53 |
| 2.936 | 44 |
| 2.759 | 31 |
| 2.725 | 57 |
| 2.523 | 34 |



# 5
Structure and theoretical powder diffraction line list of Cd2RhAu (a DFT-relaxed cell (PBE, the Materials Project); a wavelength of 1.5418 Å).
Lines closer than 0.1° are merged.

a = 6.618 Å, b = 6.618 Å, c = 6.618 Å
α = 90.00°, β = 90.00°, γ = 90.00°
Atoms (fractional coordinates):
Cd1 0.250 0.250 0.250
Cd2 0.250 0.250 0.750
Cd3 0.250 0.750 0.250
Cd4 0.250 0.750 0.750
Cd5 0.750 0.250 0.250
Cd6 0.750 0.250 0.750
Cd7 0.750 0.750 0.250
Cd8 0.750 0.750 0.750
Rh1 0.000 0.000 0.000
Rh2 0.000 0.500 0.500
Rh3 0.500 0.000 0.500
Rh4 0.500 0.500 0.000
Au1 0.000 0.000 0.500
Au2 0.000 0.500 0.000
Au3 0.500 0.000 0.000
Au4 0.500 0.500 0.500

Principal peaks in the range 10 to 90 degrees two-theta, by angle:
| d (Å) | I_rel |
| --- | --- |
| 3.821 | 7 |
| 2.340 | 100 |
| 1.996 | 4 |
| 1.655 | 17 |
| 1.351 | 34 |
| 1.170 | 11 |



# 6
Structure and theoretical powder diffraction line list of SmCdAu2 (a DFT-relaxed cell (PBE, the Materials Project); a wavelength of 1.5418 Å).
Lines closer than 0.1° are merged.

a = 7.087 Å, b = 7.087 Å, c = 7.087 Å
α = 90.00°, β = 90.00°, γ = 90.00°
Atoms (fractional coordinates):
Sm1 0.000 0.000 0.000
Sm2 0.000 0.500 0.500
Sm3 0.500 0.000 0.500
Sm4 0.500 0.500 0.000
Cd1 0.000 0.000 0.500
Cd2 0.000 0.500 0.000
Cd3 0.500 0.000 0.000
Cd4 0.500 0.500 0.500
Au1 0.250 0.250 0.250
Au2 0.250 0.250 0.750
Au3 0.250 0.750 0.250
Au4 0.250 0.750 0.750
Au5 0.750 0.250 0.250
Au6 0.750 0.250 0.750
Au7 0.750 0.750 0.250
Au8 0.750 0.750 0.750

Principal peaks in the range 10 to 90 degrees two-theta, by angle:
| d (Å) | I_rel |
| --- | --- |
| 3.543 | 5 |
| 2.505 | 100 |
| 1.772 | 18 |
| 1.447 | 36 |
| 1.253 | 11 |
| 1.120 | 17 |



# 7
Structure and theoretical powder diffraction line list of CdSnAu (a DFT-relaxed cell (PBE, the Materials Project); a wavelength of 1.5418 Å).
Lines closer than 0.1° are merged.

a = 6.737 Å, b = 6.737 Å, c = 6.737 Å
α = 90.00°, β = 90.00°, γ = 90.00°
Atoms (fractional coordinates):
Cd1 0.000 0.000 0.000
Cd2 0.000 0.500 0.500
Cd3 0.500 0.000 0.500
Cd4 0.500 0.500 0.000
Sn1 0.250 0.250 0.250
Sn2 0.250 0.750 0.750
Sn3 0.750 0.250 0.750
Sn4 0.750 0.750 0.250
Au1 0.000 0.000 0.500
Au2 0.000 0.500 0.000
Au3 0.500 0.000 0.000
Au4 0.500 0.500 0.500

Principal peaks in the range 10 to 90 degrees two-theta, by angle:
| d (Å) | I_rel |
| --- | --- |
| 3.890 | 27 |
| 3.368 | 25 |
| 2.382 | 100 |
| 2.031 | 15 |
| 1.684 | 17 |
| 1.375 | 36 |



# 8
Structure and theoretical powder diffraction line list of CdSnAu (a DFT-relaxed cell (PBE, the Materials Project); a wavelength of 1.5418 Å).
Lines closer than 0.1° are merged.

a = 6.648 Å, b = 6.648 Å, c = 6.648 Å
α = 90.00°, β = 90.00°, γ = 90.00°
Atoms (fractional coordinates):
Cd1 0.000 0.000 0.000
Cd2 0.000 0.500 0.500
Cd3 0.500 0.000 0.500
Cd4 0.500 0.500 0.000
Sn1 0.000 0.000 0.500
Sn2 0.000 0.500 0.000
Sn3 0.500 0.000 0.000
Sn4 0.500 0.500 0.500
Au1 0.250 0.250 0.250
Au2 0.250 0.750 0.750
Au3 0.750 0.250 0.750
Au4 0.750 0.750 0.250

Principal peaks in the range 10 to 90 degrees two-theta, by angle:
| d (Å) | I_rel |
| --- | --- |
| 3.838 | 49 |
| 2.350 | 100 |
| 2.004 | 26 |
| 1.662 | 17 |
| 1.357 | 35 |
| 1.175 | 11 |



# 9
Structure and theoretical powder diffraction line list of SrCdAu (a DFT-relaxed cell (PBE, the Materials Project); a wavelength of 1.5418 Å).
Lines closer than 0.1° are merged.

a = 7.919 Å, b = 4.570 Å, c = 9.021 Å
α = 90.00°, β = 90.00°, γ = 90.00°
Atoms (fractional coordinates):
Sr1 0.034 0.250 0.184
Sr2 0.466 0.750 0.684
Sr3 0.534 0.250 0.316
Sr4 0.966 0.750 0.816
Cd1 0.145 0.250 0.564
Cd2 0.355 0.750 0.064
Cd3 0.645 0.250 0.936
Cd4 0.855 0.750 0.436
Au1 0.236 0.750 0.376
Au2 0.264 0.250 0.876
Au3 0.736 0.750 0.124
Au4 0.764 0.250 0.624

Principal peaks in the range 10 to 90 degrees two-theta, by angle:
| d (Å) | I_rel |
| --- | --- |
| 2.975 | 47 |
| 2.840 | 100 |
| 2.512 | 56 |
| 2.394 | 50 |
| 2.285 | 45 |
| 2.278 | 38 |



# 10
Structure and theoretical powder diffraction line list of ThCdAu2 (a DFT-relaxed cell (PBE, the Materials Project); a wavelength of 1.5418 Å).
Lines closer than 0.1° are merged.

a = 7.163 Å, b = 7.163 Å, c = 7.163 Å
α = 90.00°, β = 90.00°, γ = 90.00°
Atoms (fractional coordinates):
Th1 0.000 0.000 0.000
Th2 0.000 0.500 0.500
Th3 0.500 0.000 0.500
Th4 0.500 0.500 0.000
Cd1 0.000 0.000 0.500
Cd2 0.000 0.500 0.000
Cd3 0.500 0.000 0.000
Cd4 0.500 0.500 0.500
Au1 0.250 0.250 0.250
Au2 0.250 0.250 0.750
Au3 0.250 0.750 0.250
Au4 0.250 0.750 0.750
Au5 0.750 0.250 0.250
Au6 0.750 0.250 0.750
Au7 0.750 0.750 0.250
Au8 0.750 0.750 0.750

Principal peaks in the range 10 to 90 degrees two-theta, by angle:
| d (Å) | I_rel |
| --- | --- |
| 4.136 | 5 |
| 2.533 | 100 |
| 1.791 | 18 |
| 1.462 | 37 |
| 1.266 | 12 |
| 1.133 | 17 |



# 11
Structure and theoretical powder diffraction line list of TmCdAu2 (a DFT-relaxed cell (PBE, the Materials Project); a wavelength of 1.5418 Å).
Lines closer than 0.1° are merged.

a = 6.936 Å, b = 6.936 Å, c = 6.936 Å
α = 90.00°, β = 90.00°, γ = 90.00°
Atoms (fractional coordinates):
Tm1 0.000 0.000 0.000
Tm2 0.000 0.500 0.500
Tm3 0.500 0.000 0.500
Tm4 0.500 0.500 0.000
Cd1 0.000 0.000 0.500
Cd2 0.000 0.500 0.000
Cd3 0.500 0.000 0.000
Cd4 0.500 0.500 0.500
Au1 0.250 0.250 0.250
Au2 0.250 0.250 0.750
Au3 0.250 0.750 0.250
Au4 0.250 0.750 0.750
Au5 0.750 0.250 0.250
Au6 0.750 0.250 0.750
Au7 0.750 0.750 0.250
Au8 0.750 0.750 0.750

Principal peaks in the range 10 to 90 degrees two-theta, by angle:
| d (Å) | I_rel |
| --- | --- |
| 3.468 | 3 |
| 2.452 | 100 |
| 1.734 | 18 |
| 1.416 | 36 |
| 1.226 | 11 |
| 1.097 | 17 |



# 12
Structure and theoretical powder diffraction line list of YCdAu (a DFT-relaxed cell (PBE, the Materials Project); a wavelength of 1.5418 Å).
Lines closer than 0.1° are merged.

a = 7.866 Å, b = 7.866 Å, c = 3.887 Å
α = 90.00°, β = 90.00°, γ = 120.00°
Atoms (fractional coordinates):
Y1 0.000 0.592 0.000
Y2 0.408 0.408 0.000
Y3 0.592 0.000 0.000
Cd1 0.000 0.263 0.500
Cd2 0.263 0.000 0.500
Cd3 0.737 0.737 0.500
Au1 0.000 0.000 0.000
Au2 0.333 0.667 0.500
Au3 0.667 0.333 0.500

Principal peaks in the range 10 to 90 degrees two-theta, by angle:
| d (Å) | I_rel |
| --- | --- |
| 3.933 | 40 |
| 2.765 | 60 |
| 2.562 | 100 |
| 2.271 | 62 |
| 2.147 | 60 |
| 1.450 | 38 |



# 13
Structure and theoretical powder diffraction line list of ZnCdAu2 (a DFT-relaxed cell (PBE, the Materials Project); a wavelength of 1.5418 Å).
Lines closer than 0.1° are merged.

a = 3.212 Å, b = 3.212 Å, c = 6.974 Å
α = 90.00°, β = 90.00°, γ = 90.00°
Atoms (fractional coordinates):
Zn1 0.000 0.000 0.000
Cd1 0.000 0.000 0.500
Au1 0.500 0.500 0.223
Au2 0.500 0.500 0.777

Principal peaks in the range 10 to 90 degrees two-theta, by angle:
| d (Å) | I_rel |
| --- | --- |
| 3.212 | 16 |
| 2.363 | 100 |
| 2.271 | 48 |
| 1.606 | 16 |
| 1.383 | 14 |
| 1.328 | 32 |



# 14
Structure and theoretical powder diffraction line list of CeAu3 (a DFT-relaxed cell (PBE, the Materials Project); a wavelength of 1.5418 Å).
Lines closer than 0.1° are merged.

a = 6.481 Å, b = 6.481 Å, c = 4.807 Å
α = 90.00°, β = 90.00°, γ = 120.00°
Atoms (fractional coordinates):
Ce1 0.333 0.667 0.250
Ce2 0.667 0.333 0.750
Au1 0.157 0.314 0.750
Au2 0.157 0.843 0.750
Au3 0.314 0.157 0.250
Au4 0.686 0.843 0.750
Au5 0.843 0.157 0.250
Au6 0.843 0.686 0.250

Principal peaks in the range 10 to 90 degrees two-theta, by angle:
| d (Å) | I_rel |
| --- | --- |
| 2.807 | 25 |
| 2.424 | 100 |
| 2.404 | 22 |
| 1.620 | 19 |
| 1.392 | 18 |
| 1.344 | 20 |



# 15
Structure and theoretical powder diffraction line list of CeAu (a DFT-relaxed cell (PBE, the Materials Project); a wavelength of 1.5418 Å).
Lines closer than 0.1° are merged.

a = 7.409 Å, b = 4.745 Å, c = 6.002 Å
α = 90.00°, β = 90.00°, γ = 90.00°
Atoms (fractional coordinates):
Ce1 0.183 0.250 0.144
Ce2 0.317 0.750 0.644
Ce3 0.683 0.250 0.356
Ce4 0.817 0.750 0.856
Au1 0.041 0.250 0.653
Au2 0.459 0.750 0.153
Au3 0.541 0.250 0.847
Au4 0.959 0.750 0.347

Principal peaks in the range 10 to 90 degrees two-theta, by angle:
| d (Å) | I_rel |
| --- | --- |
| 4.664 | 24 |
| 2.920 | 60 |
| 2.781 | 37 |
| 2.626 | 100 |
| 2.400 | 94 |
| 2.372 | 47 |